Starting from a crystal structure in Alexandria, relaxed with GGA-PBE, the powder diffractogram of Na2U2S5 was calculated for Cu Kα, 1.54184 Å.

Structural model:
Lattice parameters (Å, degrees): 8.7059 8.7059 5.4199 90.00 90.00 143.26
Sites, in units of the cell vectors:
Na 0.1591 0.8409 0.0000
Na 0.8409 0.1591 0.0000
U 0.3441 0.6559 0.5000
U 0.6559 0.3441 0.5000
S 0.1759 0.8241 0.5000
S 0.3415 0.6585 0.0000
S 0.5000 0.5000 0.5000
S 0.6585 0.3415 0.0000
S 0.8241 0.1759 0.5000

Principal peaks in the range 2θ = 5–70°, in order of rising 2θ:
2θ (°)  d (Å)  I_rel
10.71  8.262  70
16.35  5.420  100
17.02  5.208  69
21.51  4.131  42
22.87  3.888  62
23.69  3.755  53
28.25  3.159  60
32.63  2.744  45
33.06  2.710  43
47.09  1.930  59

Starting from a crystal structure in Alexandria, relaxed with GGA-PBE, the powder diffractogram of Na5V2S6 was calculated for Cu Kα, 1.54184 Å.

Structural model:
Lattice parameters (Å, degrees): 11.0593 13.5356 3.7708 90.00 90.00 90.00
Sites, in units of the cell vectors:
Na 0.0000 0.0000 0.0000
Na 0.0714 0.2361 0.0000
Na 0.1598 0.4892 0.0000
Na 0.3402 0.9892 0.0000
Na 0.4286 0.7361 0.0000
Na 0.5000 0.5000 0.0000
Na 0.5714 0.2639 0.0000
Na 0.6598 0.0108 0.0000
Na 0.8402 0.5108 0.0000
Na 0.9286 0.7639 0.0000
V 0.1789 0.7036 0.5000
V 0.3211 0.2036 0.5000
V 0.6789 0.7964 0.5000
V 0.8211 0.2964 0.5000
S 0.0070 0.6240 0.5000
S 0.1675 0.0951 0.5000
S 0.1835 0.8063 0.0000
S 0.3165 0.3063 0.0000
S 0.3325 0.5951 0.5000
S 0.4930 0.1240 0.5000
S 0.5070 0.8760 0.5000
S 0.6675 0.4049 0.5000
S 0.6835 0.6937 0.0000
S 0.8165 0.1937 0.0000
S 0.8325 0.9049 0.5000
S 0.9930 0.3760 0.5000

Principal peaks in the range 2θ = 5–70°, in order of rising 2θ:
2θ (°)  d (Å)  I_rel
13.08  6.768  56
15.35  5.773  45
28.27  3.157  100
31.97  2.799  38
34.67  2.587  40
35.65  2.518  48
38.18  2.357  43
41.38  2.182  37
48.18  1.889  38
48.27  1.885  40

Starting from a crystal structure in Alexandria, relaxed with GGA-PBE, the powder diffractogram of Na2WS5 was calculated for Cu Kα, 1.54184 Å.

Structural model:
Lattice parameters (Å, degrees): 7.3749 7.3749 7.3749 139.39 117.01 77.69
Sites, in units of the cell vectors:
Na 0.0000 0.0000 0.0000
Na 0.4460 0.4460 0.0000
W 0.7545 0.2545 0.5000
S 0.0438 0.0463 0.4473
S 0.0438 0.5966 0.9975
S 0.5639 0.0639 0.5000
S 0.5991 0.0463 0.0025
S 0.5991 0.5966 0.5527

Principal peaks in the range 2θ = 5–70°, in order of rising 2θ:
2θ (°)  d (Å)  I_rel
13.84  6.399  100
15.43  5.744  48
18.98  4.676  39
20.83  4.264  24
26.01  3.425  59
30.05  2.973  35
37.81  2.379  22
42.40  2.132  36
50.97  1.792  14
53.49  1.713  17